(1)
Th3PaSi7: theoretical X-ray diffraction stick pattern (a wavelength of 1.5418 Å), based on a cell relaxed with PBE.
Intensities are scaled so that the largest is 100.

Principal peaks in the range 2θ = 5–70°, in order of rising 2θ:
21.73°, intensity 73, (1 1 0)
24.09°, intensity 100, (0 4 2)
24.56°, intensity 48, (0 2 3)
29.75°, intensity 38, (1 3 2)
31.61°, intensity 97, (1 1 3)
32.74°, intensity 69, (1 5 1)
35.37°, intensity 75, (1 5 2)
37.67°, intensity 33, (1 1 4)
43.21°, intensity 39, (2 0 0)
50.55°, intensity 38, (0 10 2)

```
data_Th3PaSi7
_chemical_formula_sum 'Th12 Pa4 Si28'
_cell_length_a 4.1873
_cell_length_b 18.9807
_cell_length_c 11.7667
_cell_angle_alpha 90.00
_cell_angle_beta 90.00
_cell_angle_gamma 90.00
_space_group_name_H-M_alt 'C m c m'
_space_group_IT_number 63
_space_group_name_Hall '-C 2c 2'
loop_
_atom_site_label
_atom_site_type_symbol
_atom_site_fract_x
_atom_site_fract_y
_atom_site_fract_z
Th1 Th 0.0000 0.1100 0.0465
Th2 Th 0.0000 0.2410 0.7500
Pa1 Pa 0.0000 0.0398 0.7500
Si1 Si 0.0000 0.2697 0.0348
Si2 Si 0.0000 0.3711 0.1482
Si3 Si 0.0000 0.4064 0.7500
Si4 Si 0.0000 0.4982 0.0981
```

=====

(2)
Th2PaSi6: theoretical X-ray diffraction stick pattern (a wavelength of 1.5418 Å), based on a cell relaxed with PBE.
Intensities are scaled so that the largest is 100.

Principal peaks in the range 2θ = 5–70°, in order of rising 2θ:
21.78°, intensity 20, (0 0 1)
25.05°, intensity 61, (1 1 0)
33.43°, intensity 100, (1 1 1)
44.13°, intensity 29, (3 0 0)
44.39°, intensity 9, (0 0 2)
49.73°, intensity 15, (3 0 1)
51.41°, intensity 9, (2 2 0)
51.65°, intensity 18, (1 1 2)
56.47°, intensity 23, (2 2 1)
64.38°, intensity 19, (3 0 2)

```
data_Th2PaSi6
_chemical_formula_sum 'Th2 Pa1 Si6'
_cell_length_a 7.1095
_cell_length_b 7.1095
_cell_length_c 4.0813
_cell_angle_alpha 90.00
_cell_angle_beta 90.00
_cell_angle_gamma 120.00
_space_group_name_H-M_alt 'P 6/m m m'
_space_group_IT_number 191
_space_group_name_Hall '-P 6 2'
loop_
_atom_site_label
_atom_site_type_symbol
_atom_site_fract_x
_atom_site_fract_y
_atom_site_fract_z
Th1 Th 0.3333 0.6667 0.0000
Pa1 Pa 0.0000 0.0000 0.0000
Si1 Si 0.0000 0.3299 0.5000
```

=====

(3)
TmPaSi: theoretical X-ray diffraction stick pattern (a wavelength of 1.5418 Å), based on a cell relaxed with PBE.
Intensities are scaled so that the largest is 100.

Principal peaks in the range 2θ = 5–70°, in order of rising 2θ:
25.04°, intensity 100, (1 3 1)
26.70°, intensity 45, (2 2 0)
27.63°, intensity 56, (0 0 4)
30.13°, intensity 47, (2 2 2)
31.89°, intensity 35, (1 3 3)
35.59°, intensity 51, (3 1 1)
38.22°, intensity 48, (1 5 1)
38.80°, intensity 39, (2 2 4)
42.70°, intensity 44, (1 3 5)
62.65°, intensity 26, (4 4 4)

```
data_TmPaSi
_chemical_formula_sum 'Tm16 Pa16 Si16'
_cell_length_a 7.8821
_cell_length_b 12.5708
_cell_length_c 12.9134
_cell_angle_alpha 90.00
_cell_angle_beta 90.00
_cell_angle_gamma 90.00
_space_group_name_H-M_alt 'F d d d'
_space_group_IT_number 70
loop_
_space_group_symop_operation_xyz
'x,y,z'
'-x,-y,-z'
'-x+1/4,-y+1/4,z'
'x+1/4,y+1/4,-z'
'x,-y+1/4,-z+1/4'
'-x,y+1/4,z+1/4'
'-x+1/4,y,-z+1/4'
'x+1/4,-y,z+1/4'
'x,y+1/2,z+1/2'
'-x,-y+1/2,-z+1/2'
'-x+1/4,-y+3/4,z+1/2'
'x+1/4,y+3/4,-z+1/2'
'x,-y+3/4,-z+3/4'
'-x,y+3/4,z+3/4'
'-x+1/4,y+1/2,-z+3/4'
'x+1/4,-y+1/2,z+3/4'
'x+1/2,y,z+1/2'
'-x+1/2,-y,-z+1/2'
'-x+3/4,-y+1/4,z+1/2'
'x+3/4,y+1/4,-z+1/2'
'x+1/2,-y+1/4,-z+3/4'
'-x+1/2,y+1/4,z+3/4'
'-x+3/4,y,-z+3/4'
'x+3/4,-y,z+3/4'
'x+1/2,y+1/2,z'
'-x+1/2,-y+1/2,-z'
'-x+3/4,-y+3/4,z'
'x+3/4,y+3/4,-z'
'x+1/2,-y+3/4,-z+1/4'
'-x+1/2,y+3/4,z+1/4'
'-x+3/4,y+1/2,-z+1/4'
'x+3/4,-y+1/2,z+1/4'
loop_
_atom_site_label
_atom_site_type_symbol
_atom_site_fract_x
_atom_site_fract_y
_atom_site_fract_z
Tm1 Tm 0.0000 0.0000 0.0000
Pa1 Pa 0.1250 0.1250 0.5226
Si1 Si 0.1250 0.3265 0.6250
```

=====

(4)
UPaSi4: theoretical X-ray diffraction stick pattern (a wavelength of 1.5418 Å), based on a cell relaxed with PBE.
Intensities are scaled so that the largest is 100.

Principal peaks in the range 2θ = 5–70°, in order of rising 2θ:
23.49°, intensity 60, (1 0 1)
25.05°, intensity 34, (0 0 4)
29.53°, intensity 58, (1 0 3)
34.66°, intensity 100, (1 1 2)
39.10°, intensity 42, (1 0 5)
46.21°, intensity 28, (2 0 0)
50.60°, intensity 36, (1 0 7)
53.27°, intensity 19, (2 0 4)
55.79°, intensity 20, (2 1 3)
62.09°, intensity 22, (2 1 5)

```
data_UPaSi4
_chemical_formula_sum 'U2 Pa2 Si8'
_cell_length_a 3.9293
_cell_length_b 3.9293
_cell_length_c 14.2207
_cell_angle_alpha 90.00
_cell_angle_beta 90.00
_cell_angle_gamma 90.00
_space_group_name_H-M_alt 'I -4 m 2'
_space_group_IT_number 119
_space_group_name_Hall 'I -4 -2'
loop_
_atom_site_label
_atom_site_type_symbol
_atom_site_fract_x
_atom_site_fract_y
_atom_site_fract_z
U1 U 0.0000 0.0000 0.0000
Pa1 Pa 0.0000 0.5000 0.2500
Si1 Si 0.0000 0.0000 0.4188
Si2 Si 0.0000 0.5000 0.6672
```

=====

(5)
ZrPaSi2: theoretical X-ray diffraction stick pattern (a wavelength of 1.5418 Å), based on a cell relaxed with PBE.
Intensities are scaled so that the largest is 100.

Principal peaks in the range 2θ = 5–70°, in order of rising 2θ:
17.38°, intensity 25, (0 0 2)
23.94°, intensity 43, (0 1 1)
28.75°, intensity 61, (1 0 2)
33.25°, intensity 100, (1 1 1)
34.64°, intensity 48, (0 1 3)
35.17°, intensity 26, (0 0 4)
41.84°, intensity 34, (1 1 3)
54.67°, intensity 21, (1 2 2)
55.77°, intensity 21, (1 1 5)
59.21°, intensity 30, (2 1 3)

```
data_ZrPaSi2
_chemical_formula_sum 'Zr2 Pa2 Si4'
_cell_length_a 3.9121
_cell_length_b 3.9914
_cell_length_c 10.2068
_cell_angle_alpha 90.00
_cell_angle_beta 90.00
_cell_angle_gamma 90.00
_space_group_name_H-M_alt 'A m m 2'
_space_group_IT_number 38
_space_group_name_Hall 'A 2 -2'
loop_
_atom_site_label
_atom_site_type_symbol
_atom_site_fract_x
_atom_site_fract_y
_atom_site_fract_z
Zr1 Zr 0.0000 0.0000 0.0000
Pa1 Pa 0.5000 0.0000 0.2854
Si1 Si 0.0000 0.0000 0.7223
Si2 Si 0.5000 0.0000 0.5673
```

=====

(6)
SmPa3: theoretical X-ray diffraction stick pattern (a wavelength of 1.5418 Å), based on a cell relaxed with PBE.
Intensities are scaled so that the largest is 100.

Principal peaks in the range 2θ = 5–70°, in order of rising 2θ:
18.76°, intensity 2, (1 0 0)
26.65°, intensity 2, (1 1 0)
32.79°, intensity 100, (1 1 1)
38.04°, intensity 51, (2 0 0)
42.74°, intensity 1, (2 1 0)
47.05°, intensity 1, (2 1 1)
54.89°, intensity 36, (2 2 0)
58.53°, intensity 1, (3 0 0)
65.43°, intensity 43, (3 1 1)
68.73°, intensity 12, (2 2 2)

```
data_SmPa3
_chemical_formula_sum 'Sm1 Pa3'
_cell_length_a 4.7311
_cell_length_b 4.7311
_cell_length_c 4.7311
_cell_angle_alpha 90.00
_cell_angle_beta 90.00
_cell_angle_gamma 90.00
_space_group_name_H-M_alt 'P m -3 m'
_space_group_IT_number 221
_space_group_name_Hall '-P 4 2 3'
loop_
_atom_site_label
_atom_site_type_symbol
_atom_site_fract_x
_atom_site_fract_y
_atom_site_fract_z
Sm1 Sm 0.0000 0.0000 0.0000
Pa1 Pa 0.0000 0.5000 0.5000
```

=====

(7)
Sm2PaTc2: theoretical X-ray diffraction stick pattern (a wavelength of 1.5418 Å), based on a cell relaxed with PBE.
Intensities are scaled so that the largest is 100.

Principal peaks in the range 2θ = 5–70°, in order of rising 2θ:
17.26°, intensity 38, (1 1 0)
30.99°, intensity 35, (3 1 0)
31.27°, intensity 83, (2 0 2)
31.77°, intensity 100, (0 2 1)
34.72°, intensity 44, (3 1 1)
35.31°, intensity 47, (3 1 -2)
36.47°, intensity 60, (1 1 -3)
37.79°, intensity 72, (2 2 1)
39.25°, intensity 35, (4 0 -2)
47.21°, intensity 38, (1 1 -4)

```
data_Sm2PaTc2
_chemical_formula_sum 'Sm8 Pa4 Tc8'
_cell_length_a 10.0341
_cell_length_b 6.0204
_cell_length_c 8.1295
_cell_angle_alpha 90.00
_cell_angle_beta 100.59
_cell_angle_gamma 90.00
_space_group_name_H-M_alt 'C 1 2/c 1'
_space_group_IT_number 15
_space_group_name_Hall '-C 2yc'
loop_
_atom_site_label
_atom_site_type_symbol
_atom_site_fract_x
_atom_site_fract_y
_atom_site_fract_z
Sm1 Sm 0.1513 0.1209 0.1490
Pa1 Pa 0.0000 0.3868 0.7500
Tc1 Tc 0.1280 0.3722 0.5128
```

=====

(8)
SmPa2Te5: theoretical X-ray diffraction stick pattern (a wavelength of 1.5418 Å), based on a cell relaxed with PBE.
Intensities are scaled so that the largest is 100.

Principal peaks in the range 2θ = 5–70°, in order of rising 2θ:
12.15°, intensity 17, (0 0 2)
30.77°, intensity 100, (2 1 3)
33.06°, intensity 12, (2 0 4)
34.99°, intensity 45, (3 1 0)
37.03°, intensity 10, (0 0 6)
39.68°, intensity 14, (2 1 5)
50.05°, intensity 17, (0 0 8)
51.86°, intensity 9, (3 1 6)
62.56°, intensity 11, (3 1 8)
64.82°, intensity 16, (5 2 3)

```
data_SmPa2Te5
_chemical_formula_sum 'Sm4 Pa8 Te20'
_cell_length_a 8.1098
_cell_length_b 8.1098
_cell_length_c 14.5674
_cell_angle_alpha 90.00
_cell_angle_beta 90.00
_cell_angle_gamma 90.00
_space_group_name_H-M_alt 'I 4/m c m'
_space_group_IT_number 140
_space_group_name_Hall '-I 4 2c'
loop_
_atom_site_label
_atom_site_type_symbol
_atom_site_fract_x
_atom_site_fract_y
_atom_site_fract_z
Sm1 Sm 0.0000 0.0000 0.2500
Pa1 Pa 0.1402 0.3598 0.0000
Te1 Te 0.0000 0.0000 0.0000
Te2 Te 0.1624 0.3376 0.3522
```

=====

(9)
Sm5Pa2Te12: theoretical X-ray diffraction stick pattern (a wavelength of 1.5418 Å), based on a cell relaxed with PBE.
Intensities are scaled so that the largest is 100.

Principal peaks in the range 2θ = 5–70°, in order of rising 2θ:
19.17°, intensity 26, (3 1 0)
20.70°, intensity 25, (1 1 -2)
28.49°, intensity 100, (0 2 2)
32.00°, intensity 42, (6 0 0)
32.32°, intensity 17, (4 2 -2)
33.63°, intensity 18, (4 2 1)
35.74°, intensity 39, (2 0 -4)
38.96°, intensity 53, (6 2 -2)
43.89°, intensity 25, (0 4 0)
57.83°, intensity 18, (2 4 -4)

```
data_Sm5Pa2Te12
_chemical_formula_sum 'Sm10 Pa4 Te24'
_cell_length_a 17.5338
_cell_length_b 8.2511
_cell_length_c 10.0503
_cell_angle_alpha 90.00
_cell_angle_beta 106.87
_cell_angle_gamma 90.00
_space_group_name_H-M_alt 'C 1 2/m 1'
_space_group_IT_number 12
_space_group_name_Hall '-C 2y'
loop_
_atom_site_label
_atom_site_type_symbol
_atom_site_fract_x
_atom_site_fract_y
_atom_site_fract_z
Sm1 Sm 0.0000 0.0000 0.0000
Sm2 Sm 0.1840 0.5000 0.3242
Sm3 Sm 0.2069 0.5000 0.8637
Pa1 Pa 0.0000 0.2686 0.5000
Te1 Te 0.0038 0.5000 0.7392
Te2 Te 0.0084 0.0000 0.3052
Te3 Te 0.1472 0.2511 0.0636
Te4 Te 0.1771 0.2618 0.5959
```

=====

(10)
SmPaTl: theoretical X-ray diffraction stick pattern (a wavelength of 1.5418 Å), based on a cell relaxed with PBE.
Intensities are scaled so that the largest is 100.

Principal peaks in the range 2θ = 5–70°, in order of rising 2θ:
13.14°, intensity 24, (0 0 2)
26.68°, intensity 77, (1 1 3)
31.84°, intensity 83, (2 0 2)
33.96°, intensity 68, (0 2 4)
35.49°, intensity 100, (1 3 1)
35.91°, intensity 27, (2 2 0)
37.92°, intensity 63, (1 1 5)
55.55°, intensity 28, (3 3 1)
59.50°, intensity 44, (2 4 4)
59.96°, intensity 25, (0 4 6)

```
data_SmPaTl
_chemical_formula_sum 'Sm8 Pa8 Tl8'
_cell_length_a 6.1860
_cell_length_b 8.4967
_cell_length_c 13.4755
_cell_angle_alpha 90.00
_cell_angle_beta 90.00
_cell_angle_gamma 90.00
_space_group_name_H-M_alt 'F m m m'
_space_group_IT_number 69
_space_group_name_Hall '-F 2 2'
loop_
_atom_site_label
_atom_site_type_symbol
_atom_site_fract_x
_atom_site_fract_y
_atom_site_fract_z
Sm1 Sm 0.2500 0.2500 0.2500
Pa1 Pa 0.0000 0.1514 0.0000
Tl1 Tl 0.0000 0.0000 0.3903
```

=====

(11)
SmTmPa4: theoretical X-ray diffraction stick pattern (a wavelength of 1.5418 Å), based on a cell relaxed with PBE.
Intensities are scaled so that the largest is 100.

Principal peaks in the range 2θ = 5–70°, in order of rising 2θ:
17.65°, intensity 18, (1 1 1)
29.02°, intensity 17, (2 2 0)
34.17°, intensity 100, (3 1 1)
35.73°, intensity 53, (2 2 2)
41.50°, intensity 11, (4 0 0)
45.42°, intensity 5, (3 3 1)
51.43°, intensity 7, (4 2 2)
54.80°, intensity 36, (5 1 1)
60.14°, intensity 33, (4 4 0)
63.20°, intensity 4, (5 3 1)

```
data_SmTmPa4
_chemical_formula_sum 'Sm4 Tm4 Pa16'
_cell_length_a 8.7041
_cell_length_b 8.7041
_cell_length_c 8.7041
_cell_angle_alpha 90.00
_cell_angle_beta 90.00
_cell_angle_gamma 90.00
_space_group_name_H-M_alt 'F -4 3 m'
_space_group_IT_number 216
_space_group_name_Hall 'F -4 2 3'
loop_
_atom_site_label
_atom_site_type_symbol
_atom_site_fract_x
_atom_site_fract_y
_atom_site_fract_z
Sm1 Sm 0.0000 0.0000 0.0000
Tm1 Tm 0.2500 0.2500 0.2500
Pa1 Pa 0.1248 0.1248 0.6248
```

=====

(12)
SmTmPa: theoretical X-ray diffraction stick pattern (a wavelength of 1.5418 Å), based on a cell relaxed with PBE.
Intensities are scaled so that the largest is 100.

Principal peaks in the range 2θ = 5–70°, in order of rising 2θ:
11.65°, intensity 9, (0 0 2)
31.69°, intensity 100, (1 0 3)
35.44°, intensity 17, (0 0 6)
37.39°, intensity 33, (1 1 0)
39.77°, intensity 5, (1 0 5)
52.47°, intensity 23, (1 1 6)
53.91°, intensity 12, (2 0 0)
61.29°, intensity 13, (1 0 9)
63.90°, intensity 27, (2 1 3)
66.19°, intensity 12, (2 0 6)

```
data_SmTmPa
_chemical_formula_sum 'Sm2 Tm2 Pa2'
_cell_length_a 3.4014
_cell_length_b 3.4014
_cell_length_c 15.1971
_cell_angle_alpha 90.00
_cell_angle_beta 90.00
_cell_angle_gamma 90.00
_space_group_name_H-M_alt 'I 4 m m'
_space_group_IT_number 107
_space_group_name_Hall 'I 4 -2'
loop_
_atom_site_label
_atom_site_type_symbol
_atom_site_fract_x
_atom_site_fract_y
_atom_site_fract_z
Sm1 Sm 0.0000 0.0000 0.0000
Tm1 Tm 0.0000 0.0000 0.6873
Pa1 Pa 0.0000 0.0000 0.3409
```